Starting from a GGA+U-relaxed structure, the X-ray powder pattern of CrAg2F6 was calculated for CuKα.
Kinematic intensities with the Lorentz-polarization factor, no thermal factor.

abc: 5.071 5.071 10.363
angles: 90.00 90.00 90.00
Space group P4_2/mnm (No. 136)
Inequivalent atoms, fractional coordinates:
Cr1 0.000 0.000 0.000 x2
Ag1 0.000 0.000 0.338 x4
F1 0.182 0.182 0.142 x8
F2 0.230 0.230 0.500 x4

Most intense lines, 10° ≤ 2θ ≤ 90°, low angle first:
Position (°2θ)  Rel. int.
24.83  100
31.33  75
35.40  16
47.99  66
50.93  19
57.46  13
59.40  15
61.02  21
72.57  11
83.41  11